[1]
This entry pairs a crystal structure of MnC8N6 with its computed powder XRD pattern. Radiation: Cu Kα, 1.54184 Å. Structure: a structure optimized by DFT (PBE).
Lines closer than 0.1° are merged.

Top 10 peaks for 2θ from 10° to 90°, by angle:
2θ = 14.10°, rel. 59
2θ = 15.63°, rel. 40
2θ = 21.11°, rel. 100
2θ = 24.55°, rel. 14
2θ = 29.23°, rel. 11
2θ = 32.59°, rel. 17
2θ = 34.72°, rel. 9
2θ = 37.90°, rel. 7
2θ = 41.22°, rel. 15
2θ = 42.98°, rel. 19

Structure:
```
data_MnC8N6
_chemical_formula_sum 'Mn1 C8 N6'
_space_group_name_H-M_alt 'P -3 m 1'
_space_group_IT_number 164
_space_group_name_Hall '-P 3 2"'
_cell_length_a 7.2532
_cell_length_b 7.2532
_cell_length_c 5.6692
_cell_angle_alpha 90.00
_cell_angle_beta 90.00
_cell_angle_gamma 120.00
loop_
_atom_site_label
_atom_site_fract_x
_atom_site_fract_y
_atom_site_fract_z
Mn1 0.0000 0.0000 0.0000
C1 0.2223 0.4445 0.7805
C2 0.3333 0.6667 0.7554
N1 0.1303 0.2606 0.8171
```

[2]
This entry pairs a crystal structure of Ta3Fe5B2 with its computed powder XRD pattern. Radiation: Cu Kα, 1.54184 Å. Structure: a structure optimized by DFT (PBE).
Lines closer than 0.1° are merged.

Top 10 peaks for 2θ from 10° to 90°, by angle:
2θ = 22.74°, rel. 41
2θ = 28.88°, rel. 19
2θ = 32.38°, rel. 33
2θ = 37.86°, rel. 79
2θ = 42.02°, rel. 43
2θ = 42.63°, rel. 56
2θ = 44.62°, rel. 100
2θ = 46.44°, rel. 31
2θ = 70.20°, rel. 23
2θ = 72.08°, rel. 22

Structure:
```
data_Ta3Fe5B2
_chemical_formula_sum 'Ta6 Fe10 B4'
_space_group_name_H-M_alt 'P 4/m b m'
_space_group_IT_number 127
_space_group_name_Hall '-P 4 2ab'
_cell_length_a 8.745
_cell_length_b 8.745
_cell_length_c 2.992
_cell_angle_alpha 90.00
_cell_angle_beta 90.00
_cell_angle_gamma 90.00
loop_
_atom_site_label
_atom_site_fract_x
_atom_site_fract_y
_atom_site_fract_z
Ta1 0.000 0.000 0.000
Ta2 0.175 0.325 0.000
Fe1 0.000 0.500 0.500
Fe2 0.071 0.778 0.500
B1 0.119 0.619 0.000
```

[3]
This entry pairs a crystal structure of TcRu with its computed powder XRD pattern. Radiation: Cu Kα, 1.54184 Å. Structure: a structure optimized by DFT (PBE).
Lines closer than 0.1° are merged.

Top 10 peaks for 2θ from 10° to 90°, by angle:
2θ = 37.82°, rel. 37
2θ = 41.57°, rel. 37
2θ = 43.34°, rel. 100
2θ = 43.40°, rel. 49
2θ = 57.40°, rel. 11
2θ = 57.49°, rel. 11
2θ = 68.25°, rel. 17
2θ = 77.04°, rel. 13
2θ = 77.16°, rel. 13
2θ = 83.29°, rel. 19

Structure:
```
data_TcRu
_chemical_formula_sum 'Tc6 Ru6'
_space_group_name_H-M_alt 'C 1 m 1'
_space_group_IT_number 8
_cell_length_a 9.919
_cell_length_b 2.744
_cell_length_c 6.439
_cell_angle_alpha 90.00
_cell_angle_beta 103.61
_cell_angle_gamma 90.00
loop_
_space_group_symop_operation_xyz
'x,y,z'
'x,-y,z'
'x+1/2,y+1/2,z'
'x+1/2,-y+1/2,z'
loop_
_atom_site_label
_atom_site_fract_x
_atom_site_fract_y
_atom_site_fract_z
Tc1 0.000 0.000 0.000
Tc2 0.056 0.000 0.614
Tc3 0.386 0.000 0.281
Ru1 0.166 0.500 0.335
Ru2 0.223 0.500 0.945
Ru3 0.333 0.000 0.669
```

[4]
This entry pairs a crystal structure of Ce2PrNiN4 with its computed powder XRD pattern. Radiation: Cu Kα, 1.54184 Å. Structure: a structure optimized by DFT (PBE).
Lines closer than 0.1° are merged.

Top 10 peaks for 2θ from 10° to 90°, by angle:
2θ = 27.66°, rel. 84
2θ = 30.74°, rel. 100
2θ = 30.86°, rel. 47
2θ = 35.40°, rel. 47
2θ = 37.94°, rel. 63
2θ = 47.51°, rel. 22
2θ = 49.68°, rel. 21
2θ = 52.16°, rel. 19
2θ = 52.80°, rel. 21
2θ = 52.92°, rel. 33

Structure:
```
data_Ce2PrNiN4
_chemical_formula_sum 'Ce8 Pr4 Ni4 N16'
_space_group_name_H-M_alt 'C m c m'
_space_group_IT_number 63
_space_group_name_Hall '-C 2c 2'
_cell_length_a 3.507
_cell_length_b 11.589
_cell_length_c 11.647
_cell_angle_alpha 90.00
_cell_angle_beta 90.00
_cell_angle_gamma 90.00
loop_
_atom_site_label
_atom_site_fract_x
_atom_site_fract_y
_atom_site_fract_z
Ce1 0.000 0.131 0.056
Pr1 0.000 0.395 0.250
Ni1 0.000 0.342 0.750
N1 0.000 0.057 0.250
N2 0.000 0.233 0.619
N3 0.000 0.500 0.000
```

[5]
This entry pairs a crystal structure of MgC8N6 with its computed powder XRD pattern. Radiation: Cu Kα, 1.54184 Å. Structure: a structure optimized by DFT (PBE).
Lines closer than 0.1° are merged.

Top 10 peaks for 2θ from 10° to 90°, by angle:
2θ = 14.34°, rel. 10
2θ = 18.47°, rel. 13
2θ = 21.91°, rel. 53
2θ = 23.48°, rel. 36
2θ = 26.30°, rel. 32
2θ = 28.90°, rel. 17
2θ = 30.08°, rel. 100
2θ = 33.45°, rel. 15
2θ = 44.67°, rel. 10
2θ = 48.03°, rel. 13

Structure:
```
data_MgC8N6
_chemical_formula_sum 'Mg2 C16 N12'
_space_group_name_H-M_alt 'P m n a'
_space_group_IT_number 53
_cell_length_a 7.578
_cell_length_b 5.380
_cell_length_c 10.670
_cell_angle_alpha 90.00
_cell_angle_beta 90.00
_cell_angle_gamma 90.00
loop_
_space_group_symop_operation_xyz
'x,y,z'
'-x,-y,-z'
'-x+1/2,-y,z+1/2'
'x+1/2,y,-z+1/2'
'x,-y,-z'
'-x,y,z'
'-x+1/2,y,-z+1/2'
'x+1/2,-y,z+1/2'
loop_
_atom_site_label
_atom_site_fract_x
_atom_site_fract_y
_atom_site_fract_z
Mg1 0.000 0.000 0.000
C1 0.000 0.392 0.250
C2 0.000 0.418 0.660
C3 0.158 0.311 0.617
N1 0.000 0.236 0.173
N2 0.214 0.218 0.921
```

[6]
This entry pairs a crystal structure of Li5InGe3 with its computed powder XRD pattern. Radiation: Cu Kα, 1.54184 Å. Structure: a structure optimized by DFT (PBE).
Lines closer than 0.1° are merged.

Top 10 peaks for 2θ from 10° to 90°, by angle:
2θ = 13.89°, rel. 29
2θ = 18.36°, rel. 100
2θ = 23.09°, rel. 18
2θ = 24.31°, rel. 15
2θ = 37.21°, rel. 20
2θ = 37.59°, rel. 67
2θ = 38.63°, rel. 18
2θ = 43.09°, rel. 22
2θ = 46.32°, rel. 38
2θ = 60.85°, rel. 16

Structure:
```
data_Li5InGe3
_chemical_formula_sum 'Li20 In4 Ge12'
_space_group_name_H-M_alt 'C 1 2/m 1'
_space_group_IT_number 12
_cell_length_a 12.777
_cell_length_b 9.666
_cell_length_c 8.736
_cell_angle_alpha 90.00
_cell_angle_beta 133.14
_cell_angle_gamma 90.00
loop_
_space_group_symop_operation_xyz
'x,y,z'
'-x,-y,-z'
'-x,y,-z'
'x,-y,z'
'x+1/2,y+1/2,z'
'-x+1/2,-y+1/2,-z'
'-x+1/2,y+1/2,-z'
'x+1/2,-y+1/2,z'
loop_
_atom_site_label
_atom_site_fract_x
_atom_site_fract_y
_atom_site_fract_z
Li1 0.000 0.233 0.000
Li2 0.005 0.230 0.673
Li3 0.248 0.500 0.413
Li4 0.250 0.000 0.252
In1 0.245 0.500 0.065
Ge1 0.000 0.000 0.500
Ge2 0.000 0.500 0.000
Ge3 0.005 0.000 0.164
Ge4 0.009 0.500 0.356
```

[7]
This entry pairs a crystal structure of GeSe2 with its computed powder XRD pattern. Radiation: Cu Kα, 1.54184 Å. Structure: a structure optimized by DFT (PBE).
Lines closer than 0.1° are merged.

Top 10 peaks for 2θ from 10° to 90°, by angle:
2θ = 13.18°, rel. 100
2θ = 14.64°, rel. 11
2θ = 22.34°, rel. 19
2θ = 25.47°, rel. 47
2θ = 28.81°, rel. 34
2θ = 29.52°, rel. 30
2θ = 30.11°, rel. 17
2θ = 31.78°, rel. 19
2θ = 44.57°, rel. 16
2θ = 50.76°, rel. 14

Structure:
```
data_GeSe2
_chemical_formula_sum 'Ge24 Se48'
_space_group_name_H-M_alt 'F d d 2'
_space_group_IT_number 43
_space_group_name_Hall 'F 2 -2d'
_cell_length_a 11.586
_cell_length_b 24.195
_cell_length_c 8.767
_cell_angle_alpha 90.00
_cell_angle_beta 90.00
_cell_angle_gamma 90.00
loop_
_atom_site_label
_atom_site_fract_x
_atom_site_fract_y
_atom_site_fract_z
Ge1 0.000 0.000 0.000
Ge2 0.115 0.112 0.232
Se1 0.039 0.427 0.321
Se2 0.080 0.272 0.396
Se3 0.089 0.372 0.747
```